Computed PXRD pattern of Rb2Sn2O3 for a wavelength of 1.5418 Å, from a structure optimized by DFT (PBE).
No peak broadening, texture or thermal motion is included.

Top 10 peaks for 2θ = 10–90°, most intense first:
2θ = 28.6°, rel. 100; 2θ = 50.7°, rel. 39; 2θ = 41.0°, rel. 25; 2θ = 81.8°, rel. 18; 2θ = 67.2°, rel. 16; 2θ = 59.3°, rel. 15; 2θ = 14.2°, rel. 6; 2θ = 20.1°, rel. 5; 2θ = 74.6°, rel. 5; 2θ = 38.2°, rel. 3

Atomic structure:
Lattice parameters (Å, degrees): 7.634 7.634 7.634 109.47 109.47 109.47
Element x y z (fractional)
Rb: 0.000 0.004 0.500
Rb: 0.004 0.500 0.000
Rb: 0.496 0.496 0.496
Rb: 0.500 0.000 0.004
Sn: 0.000 0.471 0.500
Sn: 0.029 0.029 0.029
Sn: 0.471 0.500 0.000
Sn: 0.500 0.000 0.471
O: 0.243 0.993 0.250
O: 0.250 0.243 0.993
O: 0.257 0.507 0.750
O: 0.507 0.750 0.257
O: 0.750 0.257 0.507
O: 0.993 0.250 0.243